This entry pairs a crystal structure of CdNi2Sb with its computed XRD peak list. Radiation: CuKα. Structure: a cell relaxed with GGA-PBE.
Neutral-atom scattering factors, no anomalous dispersion.

Top 7 peaks for 2θ = 10–80°, in order of rising 2θ:
| 2θ/deg | I (rel.) | index |
| --- | --- | --- |
| 24.15 | 10 | 1 1 1 |
| 39.95 | 100 | 2 2 0 |
| 47.23 | 5 | 3 1 1 |
| 57.78 | 16 | 4 0 0 |
| 63.53 | 2 | 3 3 1 |
| 72.55 | 32 | 4 2 2 |
| 77.74 | 2 | 5 1 1 |

Crystal structure
```
CdNi2Sb
1.0
6.383 0.000 0.000
0.000 6.383 0.000
0.000 0.000 6.383
Cd Ni Sb
4 8 4
Direct
0.000 0.000 0.000 Cd
0.000 0.500 0.500 Cd
0.500 0.000 0.500 Cd
0.500 0.500 0.000 Cd
0.000 0.000 0.500 Ni
0.000 0.500 0.000 Ni
0.250 0.250 0.250 Ni
0.250 0.750 0.750 Ni
0.500 0.000 0.000 Ni
0.500 0.500 0.500 Ni
0.750 0.250 0.750 Ni
0.750 0.750 0.250 Ni
0.250 0.250 0.750 Sb
0.250 0.750 0.250 Sb
0.750 0.250 0.250 Sb
0.750 0.750 0.750 Sb
```